# 1
# HoErSb
Calculated powder diffraction line list, Cu Kα (weighted mean of Kα1 and Kα2). Input: a structure optimized by DFT (PBE).
Peak positions follow from Bragg's law for the DFT cell and can differ from measured ones.

```
18
Lattice="-4.2427 7.1428 4.1238 4.2427 -7.1428 4.1238 4.2427 7.1428 -4.1238" Properties=species:S:1:pos:R:3 pbc="T T T"
Ho 0.0000 0.0000 0.0000
Ho 4.2427 0.0000 0.0000
Ho 0.0091 5.2803 0.8950
Ho 4.2336 5.2803 0.8950
Ho -0.0091 9.0054 0.8950
Ho 0.0091 1.8626 5.0188
Er 2.1213 2.8860 -0.4858
Er 6.3640 2.8878 -0.4867
Er 2.1213 7.1448 -1.3618
Er 2.1213 -0.0019 2.7620
Er -2.1213 4.2551 3.6371
Er 2.1213 4.2568 3.6380
Sb 4.2444 4.7609 -2.1527
Sb 4.2409 -2.3820 1.9711
Sb -0.0017 2.3820 1.9711
Sb 4.2444 2.3820 1.9711
Sb 2.1213 -0.0109 6.0964
Sb 2.1213 7.1538 1.9725
```

Largest 10 diffraction maxima, in order of rising 2θ, 2θ from 5° to 70°:
2θ (°)  I/Imax
30.22  100
32.78  77
33.18  48
37.78  39
39.57  24
42.62  24
50.87  12
55.06  23
58.25  22
60.57  33



# 2
# Ba2GaAg
Calculated powder diffraction line list, Cu Kα (weighted mean of Kα1 and Kα2). Input: a structure optimized by DFT (PBE).
Peak positions follow from Bragg's law for the DFT cell and can differ from measured ones.

```
8
Lattice="6.3864 0.0000 0.0000 0.0000 4.8797 0.0000 -2.3074 0.0000 9.3489" Properties=species:S:1:pos:R:3 pbc="T T T"
Ba 0.3696 1.2199 3.9646
Ba 1.6202 3.6597 0.6342
Ba 2.4588 1.2199 8.7147
Ba 3.7094 3.6597 5.3843
Ga -0.6668 1.2199 7.2252
Ga 4.7458 3.6597 2.1237
Ag 0.4594 3.6597 6.7642
Ag 3.6196 1.2199 2.5848
```

Largest 10 diffraction maxima, in order of rising 2θ, 2θ from 5° to 70°:
2θ (°)  I/Imax
23.74  18
26.40  100
28.81  65
34.28  49
35.19  33
35.78  29
36.84  29
47.42  32
51.06  20
51.86  21



# 3
# V4OsRh7
Calculated powder diffraction line list, Cu Kα (weighted mean of Kα1 and Kα2). Input: a structure optimized by DFT (PBE).
Peak positions follow from Bragg's law for the DFT cell and can differ from measured ones.

```
12
Lattice="5.1548 -2.3004 0.0000 5.1548 2.3004 0.0000 -4.3250 0.0000 7.7170" Properties=species:S:1:pos:R:3 pbc="T T T"
V -0.2934 0.0000 2.0583
V -1.1626 0.0000 6.3475
V 7.1473 0.0000 1.3694
V 6.2781 0.0000 5.6587
Os 2.9923 0.0000 3.8585
Rh -2.1625 0.0000 3.8585
Rh 1.2823 0.0000 0.4490
Rh 0.3830 0.0000 4.5675
Rh 3.8334 0.0000 1.1530
Rh 2.1512 0.0000 6.5640
Rh 5.6017 0.0000 3.1495
Rh 4.7024 0.0000 7.2680
```

Largest 10 diffraction maxima, in order of rising 2θ, 2θ from 5° to 70°:
2θ (°)  I/Imax
23.05  30
28.02  25
35.72  64
38.17  64
39.16  100
40.90  31
42.15  68
47.39  36
54.04  32
55.84  41